Record 1
Simulated X-ray diffraction stick pattern
Compound: Cs5RbCl6
Radiation: λ = 1.5418 Å (Cu Kα)
Structure: a crystal structure in Alexandria, relaxed with GGA-PBE

Principal peaks in the range 2θ from 10° to 80°, by angle:
two_theta, d_spacing, I/Imax
22.0, 4.047, 53
25.4, 3.505, 100
36.2, 2.479, 76
42.8, 2.114, 30
44.8, 2.024, 27
58.9, 1.568, 35

Structure:
a b c (Å): 8.5854 8.5854 8.5868
angles (deg): 99.61 99.61 119.98
Element x y z (fractional)
Cs: 0.0000 0.0000 0.0000
Cs: 0.1664 0.8336 0.5000
Cs: 0.3328 0.6672 0.0000
Cs: 0.6672 0.3328 0.0000
Cs: 0.8336 0.1664 0.5000
Rb: 0.5000 0.5000 0.5000
Cl: 0.0932 0.4182 0.2545
Cl: 0.2571 0.2571 0.7441
Cl: 0.4182 0.0932 0.2545
Cl: 0.5818 0.9068 0.7455
Cl: 0.7429 0.7429 0.2559
Cl: 0.9068 0.5818 0.7455

Record 2
Simulated X-ray diffraction stick pattern
Compound: Pm3Ge4Ir4
Radiation: λ = 1.5418 Å (Cu Kα)
Structure: a crystal structure in Alexandria, relaxed with GGA-PBE

Principal peaks in the range 2θ from 10° to 80°, by angle:
two_theta, d_spacing, I/Imax
30.3, 2.953, 90
32.9, 2.725, 88
33.1, 2.704, 100
41.6, 2.173, 56
42.4, 2.132, 53
54.2, 1.694, 53

Structure:
a b c (Å): 12.6143 12.6143 12.6143
angles (deg): 160.54 160.16 27.93
Element x y z (fractional)
Pm: 0.0000 0.0000 0.0000
Pm: 0.3543 0.8543 0.5000
Pm: 0.6457 0.1457 0.5000
Ge: 0.0989 0.5989 0.5000
Ge: 0.2502 0.2502 0.0000
Ge: 0.7498 0.7498 0.0000
Ge: 0.9011 0.4011 0.5000
Ir: 0.1982 0.6982 0.5000
Ir: 0.4471 0.4471 0.0000
Ir: 0.5529 0.5529 0.0000
Ir: 0.8018 0.3018 0.5000